No. 1
# TiMnPb2O5
Theoretical powder diffraction line list, Cu Kα X-rays. Input: a cell relaxed with PBE+U.

Structure:
```
data_TiMnPb2O5
_chemical_formula_sum 'Ti4 Mn4 Pb8 O20'
_symmetry_space_group_name_H-M 'C m c 21'
_symmetry_Int_Tables_number 36
_cell_length_a 3.1983
_cell_length_b 13.1529
_cell_length_c 12.8574
_cell_angle_alpha 90.00
_cell_angle_beta 90.00
_cell_angle_gamma 90.00
loop_
_symmetry_equiv_pos_as_xyz
'x,y,z'
'-x,-y,z+1/2'
'-x,y,z'
'x,-y,z+1/2'
'x+1/2,y+1/2,z'
'-x+1/2,-y+1/2,z+1/2'
'-x+1/2,y+1/2,z'
'x+1/2,-y+1/2,z+1/2'
loop_
_atom_site_label
_atom_site_fract_x
_atom_site_fract_y
_atom_site_fract_z
Ti1 0.0000 0.1969 0.0000
Mn1 0.0000 0.4964 0.9257
Pb1 0.0000 0.0552 0.6731
Pb2 0.0000 0.1976 0.2911
O1 0.0000 0.0404 0.0242
O2 0.0000 0.2786 0.5824
O3 0.0000 0.3286 0.9279
O4 0.0000 0.3443 0.3956
O5 0.0000 0.4649 0.7611
```

Principal peaks in the range 2θ = 10–90°, in order of rising 2θ:
13.77 deg, 6.429 Å, intensity 61, hkl 0 0 2
24.80 deg, 3.591 Å, intensity 66, hkl 0 2 3
28.01 deg, 3.186 Å, intensity 100, hkl 0 4 1
30.97 deg, 2.888 Å, intensity 76, hkl 0 2 4
31.99 deg, 2.798 Å, intensity 67, hkl 1 1 2
35.69 deg, 2.516 Å, intensity 71, hkl 1 1 3



No. 2
# CaFeO2
Theoretical powder diffraction line list, Cu Kα X-rays. Input: a cell relaxed with PBE+U.

Structure:
```
data_CaFeO2
_chemical_formula_sum 'Ca4 Fe4 O8'
_symmetry_space_group_name_H-M 'P n m a'
_symmetry_Int_Tables_number 62
_cell_length_a 5.6333
_cell_length_b 3.2378
_cell_length_c 10.9573
_cell_angle_alpha 90.00
_cell_angle_beta 90.00
_cell_angle_gamma 90.00
loop_
_symmetry_equiv_pos_as_xyz
'x,y,z'
'-x,-y,-z'
'-x+1/2,-y,z+1/2'
'x+1/2,y,-z+1/2'
'x+1/2,-y+1/2,-z+1/2'
'-x+1/2,y+1/2,z+1/2'
'-x,y+1/2,-z'
'x,-y+1/2,z'
loop_
_atom_site_label
_atom_site_fract_x
_atom_site_fract_y
_atom_site_fract_z
Ca1 0.0967 0.2500 0.1412
Fe1 0.0932 0.7500 0.3915
O1 0.1335 0.2500 0.7494
O2 0.2423 0.2500 0.4891
```

Principal peaks in the range 2θ = 10–90°, in order of rising 2θ:
32.69 deg, 2.739 Å, intensity 17, hkl 0 0 4
32.83 deg, 2.728 Å, intensity 22, hkl 2 0 1
35.95 deg, 2.498 Å, intensity 100, hkl 1 1 2
40.48 deg, 2.228 Å, intensity 63, hkl 2 0 3
52.98 deg, 1.728 Å, intensity 22, hkl 2 0 5
57.34 deg, 1.607 Å, intensity 24, hkl 3 1 1